Computed X-ray powder pattern of CeUPN2 for CuKα, from a crystal structure in Alexandria, relaxed with PBE.
No peak broadening, texture or thermal motion is included.

Main lines, in order of rising 2θ (2θ from 10° to 80°):
5.942 Å, rel. 20, (0 0 2)
3.592 Å, rel. 58, (1 0 1)
2.971 Å, rel. 15, (0 0 4)
2.730 Å, rel. 100, (1 0 3)
2.665 Å, rel. 46, (1 1 0)
1.983 Å, rel. 33, (1 1 4)
1.884 Å, rel. 22, (2 0 0)
1.590 Å, rel. 26, (1 1 6)
1.551 Å, rel. 37, (2 1 3)
1.548 Å, rel. 15, (1 0 7)

Crystal structure
```
data_CeUPN2
_cell_length_a 3.7688
_cell_length_b 3.7688
_cell_length_c 11.8831
_cell_angle_alpha 90.00
_cell_angle_beta 90.00
_cell_angle_gamma 90.00
_symmetry_space_group_name_H-M 'I 4 m m'
_symmetry_Int_Tables_number 107
_symmetry_space_group_name_Hall 'I 4 -2'
loop_
_atom_site_label
_atom_site_type_symbol
_atom_site_fract_x
_atom_site_fract_y
_atom_site_fract_z
Ce1 Ce 0.0000 0.0000 0.0000
U1 U 0.0000 0.0000 0.2940
P1 P 0.0000 0.0000 0.6502
N1 N 0.0000 0.5000 0.3846
```

***

Computed X-ray powder pattern of CeVP2N6 for CuKα, from a crystal structure in Alexandria, relaxed with PBE.
No peak broadening, texture or thermal motion is included.

Main lines, in order of rising 2θ (2θ from 10° to 80°):
6.807 Å, rel. 100, (1 1 0)
4.682 Å, rel. 39, (2 0 0)
3.403 Å, rel. 24, (2 2 0)
3.302 Å, rel. 86, (2 2 -1)
2.977 Å, rel. 43, (3 1 0)
2.838 Å, rel. 44, (1 3 -1)
2.694 Å, rel. 25, (1 1 -2)
2.601 Å, rel. 28, (0 0 2)
2.541 Å, rel. 24, (2 2 1)
2.534 Å, rel. 23, (1 3 1)

Crystal structure
```
data_CeVP2N6
_cell_length_a 10.1435
_cell_length_b 9.9126
_cell_length_c 5.6352
_cell_angle_alpha 90.00
_cell_angle_beta 112.61
_cell_angle_gamma 90.00
_symmetry_space_group_name_H-M 'C 1 2/c 1'
_symmetry_Int_Tables_number 15
_symmetry_space_group_name_Hall '-C 2yc'
loop_
_atom_site_label
_atom_site_type_symbol
_atom_site_fract_x
_atom_site_fract_y
_atom_site_fract_z
Ce1 Ce 0.0000 0.1172 0.2500
V1 V 0.0000 0.2393 0.7500
P1 P 0.2083 0.4255 0.2024
N1 N 0.0977 0.3017 0.0747
N2 N 0.1203 0.1196 0.6956
N3 N 0.1992 0.4621 0.4820
```

***

Computed X-ray powder pattern of Ce3PrPa4N12 for CuKα, from a crystal structure in Alexandria, relaxed with PBE.
No peak broadening, texture or thermal motion is included.

Main lines, in order of rising 2θ (2θ from 10° to 80°):
4.288 Å, rel. 8, (2 0 0)
3.032 Å, rel. 100, (2 2 0)
2.476 Å, rel. 1, (2 2 2)
2.144 Å, rel. 22, (4 0 0)
1.918 Å, rel. 4, (4 2 0)
1.751 Å, rel. 46, (4 2 2)
1.516 Å, rel. 14, (4 4 0)
1.429 Å, rel. 2, (4 4 2)
1.356 Å, rel. 19, (6 2 0)
1.238 Å, rel. 5, (4 4 4)

Crystal structure
```
data_Ce3PrPa4N12
_cell_length_a 8.5764
_cell_length_b 8.5764
_cell_length_c 8.5764
_cell_angle_alpha 90.00
_cell_angle_beta 90.00
_cell_angle_gamma 90.00
_symmetry_space_group_name_H-M 'I m -3'
_symmetry_Int_Tables_number 204
_symmetry_space_group_name_Hall '-I 2 2 3'
loop_
_atom_site_label
_atom_site_type_symbol
_atom_site_fract_x
_atom_site_fract_y
_atom_site_fract_z
Ce1 Ce 0.0000 0.0000 0.5000
Pr1 Pr 0.0000 0.0000 0.0000
Pa1 Pa 0.2500 0.2500 0.2500
N1 N 0.0000 0.3031 0.1842
```